For Ta2MnZnO8, DFT lattice parameters and positions (GGA+U) gives the simulated X-ray powder pattern in this record (λ = 1.5418 Å (Cu Kα)).
Neutral-atom scattering factors, no anomalous dispersion.

Atomic structure:
Cell lengths 10.2451, 10.2451, 5.0959 Å; angles 95.97, 95.97, 32.59 degrees
Element x y z (fractional)
Ta1 0.1175 0.1175 0.0357
Ta2 0.2308 0.5320 0.4736
Ta3 0.4680 0.7692 0.5264
Ta4 0.8825 0.8825 0.9643
Mn1 0.5290 0.4710 0.0000
Mn2 0.8191 0.1809 0.5000
Zn1 0.2879 0.2572 0.8953
Zn2 0.7428 0.7121 0.1047
O1 0.0069 0.3755 0.9418
O2 0.1007 0.0174 0.6836
O3 0.1106 0.5568 0.1219
O4 0.2405 0.0824 0.3742
O5 0.2452 0.6379 0.8246
O6 0.3621 0.7548 0.1754
O7 0.3658 0.2706 0.5793
O8 0.4432 0.8894 0.8781
O9 0.5142 0.3807 0.3032
O10 0.6193 0.4858 0.6968
O11 0.6245 0.9931 0.0582
O12 0.7294 0.6342 0.4207
O13 0.7305 0.1640 0.8061
O14 0.8360 0.2695 0.1939
O15 0.9176 0.7595 0.6258
O16 0.9826 0.8993 0.3164

Peak list (6 most intense, 5 to 70 degrees two-theta, low angle first)
2θ (°)  d_spacing  I_rel
18.15  4.888  71
23.48  3.789  45
27.59  3.233  42
28.12  3.173  81
31.46  2.843  100
35.92  2.500  45